No. 1
This entry pairs a crystal structure of CaH8Ru2 with its simulated powder diffraction line list. Radiation: Cu Kα, 1.54184 Å. Structure: a cell relaxed with PBE.

Largest 8 diffraction maxima, low angle first, 2θ from 10° to 80°:
two_theta  intensity
25.75  547
32.28  730
32.73  655
33.05  585
34.95  1000
43.91  446
47.20  408
65.00  320

a b c (Å): 5.473 8.721 3.460
angles (deg): 90.00 90.00 90.00
Space group Cmmm (No. 65)
Symmetry-distinct sites (fractional):
Ca 0.000 0.000 0.000 [2 per cell]
H 0.000 0.280 0.000 [4 per cell]
H 0.000 0.500 0.256 [4 per cell]
H 0.183 0.147 0.500 [8 per cell]
Ru 0.000 0.321 0.500 [4 per cell]

---

No. 2
This entry pairs a crystal structure of CaNdSmMg with its simulated powder diffraction line list. Radiation: Cu Kα, 1.54184 Å. Structure: a cell relaxed with PBE.

Largest 8 diffraction maxima, low angle first, 2θ from 10° to 80°:
two_theta  intensity
25.87  334
30.36  1000
34.50  368
35.73  122
36.56  136
49.59  130
51.14  207
59.26  292

a b c (Å): 3.677 3.677 9.831
angles (deg): 90.00 90.00 90.00
Space group P4mm (No. 99)
Symmetry-distinct sites (fractional):
Ca 0.000 0.000 0.000 [1 per cell]
Nd 0.500 0.500 0.707 [1 per cell]
Sm 0.000 0.000 0.455 [1 per cell]
Mg 0.500 0.500 0.233 [1 per cell]

---

No. 3
This entry pairs a crystal structure of La6Bi5Te with its simulated powder diffraction line list. Radiation: Cu Kα, 1.54184 Å. Structure: a cell relaxed with PBE.

Largest 8 diffraction maxima, low angle first, 2θ from 10° to 80°:
two_theta  intensity
23.25  51
26.91  1000
38.42  789
45.39  31
47.53  289
55.46  137
62.69  381
69.48  282

a b c (Å): 8.118 14.054 8.117
angles (deg): 90.00 109.45 90.00
Space group C2/m (No. 12)
Symmetry-distinct sites (fractional):
La 0.249 0.000 0.251 [4 per cell]
La 0.249 0.167 0.749 [8 per cell]
Bi 0.000 0.000 0.500 [2 per cell]
Bi 0.000 0.167 0.000 [4 per cell]
Bi 0.000 0.334 0.500 [4 per cell]
Te 0.000 0.500 0.000 [2 per cell]